Starting from a crystal structure in the Materials Project, relaxed with PBE, the PXRD pattern of Rb3InO3 was calculated for Cu Kα (λ = 1.5418 Å).
Peak positions follow from Bragg's law for the DFT cell and can differ from measured ones.

Structure:
Lattice parameters (Å, degrees): 7.895 7.178 11.571 90.00 94.39 90.00
Space group P2_1/c (No. 14)
Asymmetric unit:
Rb1 0.056 0.127 0.155 x4
Rb2 0.360 0.181 0.925 x4
Rb3 0.368 0.696 0.808 x4
In1 0.161 0.589 0.067 x4
O1 0.103 0.042 0.400 x4
O2 0.254 0.646 0.538 x4
O3 0.306 0.062 0.690 x4

Largest 10 diffraction maxima, sorted by position, 15° ≤ 2θ ≤ 90°:
h k l, 2θ/deg, I/Imax
2 0 -2, 26.43, 25
1 2 0, 27.31, 18
1 1 -3, 27.95, 44
2 0 2, 28.41, 56
1 2 1, 28.64, 100
2 1 -2, 29.25, 62
1 2 -2, 31.04, 23
0 1 4, 33.48, 64
3 1 -1, 36.73, 26
1 3 -3, 45.67, 14